Starting from a cell relaxed with GGA-PBE, the powder XRD pattern of TbNd9Pb2 was calculated for CuKα.
Lines closer than 0.1° are merged.

Structure:
```
TbNd9Pb2
1.0
5.013 0.000 0.000
0.000 5.013 0.000
0.000 0.000 15.467
Tb Nd Pb
1 9 2
direct
0.000 0.000 0.000 Tb
0.000 0.500 0.173 Nd
0.000 0.500 0.500 Nd
0.000 0.500 0.827 Nd
0.500 0.000 0.173 Nd
0.500 0.000 0.500 Nd
0.500 0.000 0.827 Nd
0.500 0.500 0.000 Nd
0.500 0.500 0.338 Nd
0.500 0.500 0.662 Nd
0.000 0.000 0.337 Pb
0.000 0.000 0.663 Pb
```

Principal peaks in the range 2θ = 10–90°, in order of falling intensity:
2θ/deg  I/Imax
30.61  100
35.83  33
61.16  28
50.81  24
34.80  17
59.81  14
63.72  12
51.57  12
82.85  11
84.04  6


Starting from a cell relaxed with GGA-PBE, the powder XRD pattern of Ba3Li2Ga9 was calculated for CuKα.
Lines closer than 0.1° are merged.

Structure:
```
Ba3Li2Ga9
1.0
-2.325 5.071 7.039
2.325 -5.071 7.039
2.325 5.071 -7.039
Ba Li Ga
3 2 9
direct
0.000 0.000 0.000 Ba
0.309 0.309 0.000 Ba
0.691 0.691 0.000 Ba
0.301 0.500 0.801 Li
0.699 0.500 0.199 Li
0.027 0.664 0.363 Ga
0.122 0.851 0.271 Ga
0.301 0.664 0.637 Ga
0.420 0.149 0.271 Ga
0.500 0.000 0.500 Ga
0.580 0.851 0.729 Ga
0.699 0.336 0.363 Ga
0.878 0.149 0.729 Ga
0.973 0.336 0.637 Ga
```

Principal peaks in the range 2θ = 10–90°, in order of falling intensity:
2θ/deg  I/Imax
32.34  100
32.75  49
38.72  38
26.99  35
30.93  29
38.36  28
12.58  22
61.64  22
32.64  21
55.65  19


> Which formula does entry 1 have?

TbNd9Pb2